[1]
# Sr2MnGaTe5
Theoretical X-ray powder pattern, copper Kα. Input: a crystal structure in Alexandria, relaxed with PBE.
Neutral-atom scattering factors, no anomalous dispersion.

Structural model:
```
data_Sr2MnGaTe5
_cell_length_a 4.2689
_cell_length_b 20.6080
_cell_length_c 13.5008
_cell_angle_alpha 90.00
_cell_angle_beta 90.00
_cell_angle_gamma 90.00
_symmetry_space_group_name_H-M 'C m c 21'
_symmetry_Int_Tables_number 36
loop_
_symmetry_equiv_pos_as_xyz
'x,y,z'
'-x,-y,z+1/2'
'-x,y,z'
'x,-y,z+1/2'
'x+1/2,y+1/2,z'
'-x+1/2,-y+1/2,z+1/2'
'-x+1/2,y+1/2,z'
'x+1/2,-y+1/2,z+1/2'
loop_
_atom_site_label
_atom_site_fract_x
_atom_site_fract_y
_atom_site_fract_z
Sr1 0.0000 0.1079 0.0000
Sr2 0.0000 0.1170 0.6404
Mn1 0.0000 0.2311 0.3836
Ga1 0.0000 0.4275 0.7951
Te1 0.0000 0.0467 0.4071
Te2 0.0000 0.2727 0.0186
Te3 0.0000 0.2995 0.7585
Te4 0.0000 0.3592 0.3258
Te5 0.0000 0.4871 0.6239
```

Most intense lines, 10° ≤ 2θ ≤ 90°, by angle:
| two_theta | I (rel.) | index |
| --- | --- | --- |
| 25.1 | 49 | 1 1 2 |
| 26.8 | 93 | 0 6 1 |
| 27.8 | 37 | 0 2 4 |
| 27.9 | 69 | 1 3 2 |
| 29.2 | 100 | 1 1 3 |
| 30.1 | 34 | 1 5 0 |
| 33.0 | 40 | 1 5 2 |
| 36.3 | 35 | 1 5 3 |
| 42.3 | 58 | 2 0 0 |
| 45.4 | 48 | 1 5 5 |
| 46.1 | 40 | 1 7 4 |
| 50.8 | 31 | 2 6 1 |



[2]
# Zn3Pb2O7
Theoretical X-ray powder pattern, copper Kα. Input: a crystal structure in Alexandria, relaxed with PBE.
Neutral-atom scattering factors, no anomalous dispersion.

Structural model:
```
data_Zn3Pb2O7
_cell_length_a 19.8836
_cell_length_b 5.6139
_cell_length_c 5.4560
_cell_angle_alpha 90.00
_cell_angle_beta 90.00
_cell_angle_gamma 90.00
_symmetry_space_group_name_H-M 'C m c 21'
_symmetry_Int_Tables_number 36
loop_
_symmetry_equiv_pos_as_xyz
'x,y,z'
'-x,-y,z+1/2'
'-x,y,z'
'x,-y,z+1/2'
'x+1/2,y+1/2,z'
'-x+1/2,-y+1/2,z+1/2'
'-x+1/2,y+1/2,z'
'x+1/2,-y+1/2,z+1/2'
loop_
_atom_site_label
_atom_site_fract_x
_atom_site_fract_y
_atom_site_fract_z
Zn1 0.0000 0.2302 0.0000
Zn2 0.2090 0.2892 0.9622
Pb1 0.1050 0.2467 0.4847
O1 0.0000 0.1147 0.3568
O2 0.0729 0.4035 0.8254
O3 0.1427 0.0926 0.1523
O4 0.2081 0.3724 0.5979
```

Most intense lines, 10° ≤ 2θ ≤ 90°, by angle:
| two_theta | I (rel.) | index |
| --- | --- | --- |
| 17.8 | 14 | 4 0 0 |
| 23.2 | 31 | 1 1 1 |
| 31.9 | 26 | 0 2 0 |
| 32.1 | 100 | 5 1 1 |
| 32.8 | 25 | 0 0 2 |
| 45.6 | 10 | 10 0 0 |
| 46.4 | 21 | 0 2 2 |
| 56.7 | 10 | 10 2 0 |
| 56.9 | 22 | 5 3 1 |
| 57.3 | 10 | 10 0 2 |
| 58.1 | 22 | 5 1 3 |
| 67.1 | 11 | 10 2 2 |



[3]
# Rb2InPbAu6
Theoretical X-ray powder pattern, copper Kα. Input: a crystal structure in Alexandria, relaxed with PBE.
Neutral-atom scattering factors, no anomalous dispersion.

Structural model:
```
data_Rb2InPbAu6
_cell_length_a 10.7197
_cell_length_b 11.0235
_cell_length_c 7.5512
_cell_angle_alpha 90.00
_cell_angle_beta 134.60
_cell_angle_gamma 90.00
_symmetry_space_group_name_H-M 'C 1 2/m 1'
_symmetry_Int_Tables_number 12
loop_
_symmetry_equiv_pos_as_xyz
'x,y,z'
'-x,-y,-z'
'-x,y,-z'
'x,-y,z'
'x+1/2,y+1/2,z'
'-x+1/2,-y+1/2,-z'
'-x+1/2,y+1/2,-z'
'x+1/2,-y+1/2,z'
loop_
_atom_site_label
_atom_site_fract_x
_atom_site_fract_y
_atom_site_fract_z
Rb1 0.0000 0.2092 0.0000
In1 0.0000 0.5000 0.5000
Pb1 0.0000 0.0000 0.5000
Au1 0.0000 0.2547 0.5000
Au2 0.1814 0.5000 0.3688
Au3 0.1806 0.5000 0.9944
```

Most intense lines, 10° ≤ 2θ ≤ 90°, by angle:
| two_theta | I (rel.) | index |
| --- | --- | --- |
| 14.2 | 60 | 1 1 -1 |
| 16.1 | 66 | 0 2 0 |
| 16.5 | 67 | 0 0 1 |
| 27.0 | 52 | 1 3 -1 |
| 28.4 | 60 | 2 2 0 |
| 28.7 | 66 | 2 2 -2 |
| 32.5 | 100 | 0 4 0 |
| 33.3 | 58 | 0 0 2 |
| 33.4 | 56 | 4 0 -2 |
| 36.2 | 46 | 3 1 0 |
| 36.6 | 56 | 3 1 -3 |
| 47.3 | 76 | 0 4 2 |



[4]
# LiTcBr2O
Theoretical X-ray powder pattern, copper Kα. Input: a crystal structure in Alexandria, relaxed with PBE.
Neutral-atom scattering factors, no anomalous dispersion.

Structural model:
```
data_LiTcBr2O
_cell_length_a 5.1881
_cell_length_b 5.1881
_cell_length_c 3.5458
_cell_angle_alpha 90.00
_cell_angle_beta 90.00
_cell_angle_gamma 90.00
_symmetry_space_group_name_H-M 'P 4/m m m'
_symmetry_Int_Tables_number 123
_symmetry_space_group_name_Hall '-P 4 2'
loop_
_atom_site_label
_atom_site_fract_x
_atom_site_fract_y
_atom_site_fract_z
Li1 0.0000 0.0000 0.0000
Tc1 0.5000 0.5000 0.0000
Br1 0.0000 0.5000 0.5000
O1 0.0000 0.0000 0.5000
```

Most intense lines, 10° ≤ 2θ ≤ 90°, by angle:
| two_theta | I (rel.) | index |
| --- | --- | --- |
| 17.1 | 29 | 1 0 0 |
| 30.5 | 29 | 1 0 1 |
| 34.6 | 67 | 2 0 0 |
| 35.2 | 100 | 1 1 1 |
| 46.8 | 17 | 2 1 1 |
| 49.7 | 23 | 2 2 0 |
| 51.6 | 10 | 0 0 2 |
| 62.4 | 38 | 3 1 1 |
| 63.6 | 22 | 2 0 2 |
| 74.4 | 13 | 2 2 2 |
| 83.3 | 10 | 4 2 0 |
| 83.7 | 8 | 3 3 1 |



[5]
# AcNd3Pt8
Theoretical X-ray powder pattern, copper Kα. Input: a crystal structure in Alexandria, relaxed with PBE.
Neutral-atom scattering factors, no anomalous dispersion.

Structural model:
```
data_AcNd3Pt8
_cell_length_a 5.5565
_cell_length_b 5.5565
_cell_length_c 9.1476
_cell_angle_alpha 90.00
_cell_angle_beta 90.00
_cell_angle_gamma 120.00
_symmetry_space_group_name_H-M 'P 3 m 1'
_symmetry_Int_Tables_number 156
loop_
_symmetry_equiv_pos_as_xyz
'x,y,z'
'-y,x-y,z'
'-x+y,-x,z'
'-y,-x,z'
'-x+y,y,z'
'x,x-y,z'
loop_
_atom_site_label
_atom_site_fract_x
_atom_site_fract_y
_atom_site_fract_z
Ac1 0.0000 0.0000 0.0000
Nd1 0.0000 0.0000 0.3739
Nd2 0.6667 0.3333 0.4954
Nd3 0.6667 0.3333 0.8612
Pt1 0.1658 0.3315 0.6804
Pt2 0.3333 0.6667 0.4333
Pt3 0.3333 0.6667 0.9333
Pt4 0.5017 0.0034 0.1874
```

Most intense lines, 10° ≤ 2θ ≤ 90°, by angle:
| two_theta | I (rel.) | index |
| --- | --- | --- |
| 32.2 | 22 | 1 1 0 |
| 34.8 | 65 | 1 0 3 |
| 37.9 | 100 | 1 1 2 |
| 38.7 | 96 | 2 0 1 |
| 39.4 | 23 | 0 0 4 |
| 42.5 | 27 | 0 2 2 |
| 43.8 | 16 | 1 0 4 |
| 59.1 | 27 | 2 1 3 |
| 61.2 | 25 | 0 3 2 |
| 63.9 | 33 | 0 2 5 |
| 67.4 | 31 | 2 2 0 |
| 81.0 | 17 | 2 2 4 |



[6]
# V3S
Theoretical X-ray powder pattern, copper Kα. Input: a crystal structure in Alexandria, relaxed with PBE.
Neutral-atom scattering factors, no anomalous dispersion.

Structural model:
```
data_V3S
_cell_length_a 9.3326
_cell_length_b 9.3326
_cell_length_c 4.6360
_cell_angle_alpha 90.00
_cell_angle_beta 90.00
_cell_angle_gamma 90.00
_symmetry_space_group_name_H-M 'P 42/n b c'
_symmetry_Int_Tables_number 133
loop_
_symmetry_equiv_pos_as_xyz
'x,y,z'
'-x,-y,-z'
'-y+1/2,x,z+1/2'
'y+1/2,-x,-z+1/2'
'-x+1/2,-y+1/2,z'
'x+1/2,y+1/2,-z'
'y,-x+1/2,z+1/2'
'-y,x+1/2,-z+1/2'
'x,-y+1/2,-z'
'-x,y+1/2,z'
'-y+1/2,-x+1/2,-z+1/2'
'y+1/2,x+1/2,z+1/2'
'-x+1/2,y,-z'
'x+1/2,-y,z'
'y,x,-z+1/2'
'-y,-x,z+1/2'
loop_
_atom_site_label
_atom_site_fract_x
_atom_site_fract_y
_atom_site_fract_z
V1 0.0478 0.0478 0.2500
V2 0.1029 0.7500 0.0000
V3 0.1599 0.1599 0.7500
S1 0.0406 0.7500 0.5000
```

Most intense lines, 10° ≤ 2θ ≤ 90°, by angle:
| two_theta | I (rel.) | index |
| --- | --- | --- |
| 36.1 | 18 | 3 1 1 |
| 39.9 | 100 | 3 2 1 |
| 41.0 | 59 | 3 3 0 |
| 41.3 | 71 | 1 1 2 |
| 43.4 | 53 | 4 2 0 |
| 43.6 | 16 | 2 0 2 |
| 44.5 | 77 | 4 1 1 |
| 47.8 | 20 | 4 2 1 |
| 48.0 | 52 | 2 2 2 |
| 49.8 | 21 | 5 1 0 |
| 73.3 | 17 | 6 0 2 |
| 84.5 | 19 | 5 5 2 |



[7]
# Tm3Sc
Theoretical X-ray powder pattern, copper Kα. Input: a crystal structure in Alexandria, relaxed with PBE.
Neutral-atom scattering factors, no anomalous dispersion.

Structural model:
```
data_Tm3Sc
_cell_length_a 4.8530
_cell_length_b 4.8530
_cell_length_c 4.8530
_cell_angle_alpha 90.00
_cell_angle_beta 90.00
_cell_angle_gamma 90.00
_symmetry_space_group_name_H-M 'P m -3 m'
_symmetry_Int_Tables_number 221
_symmetry_space_group_name_Hall '-P 4 2 3'
loop_
_atom_site_label
_atom_site_fract_x
_atom_site_fract_y
_atom_site_fract_z
Tm1 0.0000 0.0000 0.5000
Sc1 0.5000 0.5000 0.5000
```

Most intense lines, 10° ≤ 2θ ≤ 90°, by angle:
| two_theta | I (rel.) | index |
| --- | --- | --- |
| 18.3 | 14 | 1 0 0 |
| 26.0 | 13 | 1 1 0 |
| 31.9 | 100 | 1 1 1 |
| 37.0 | 50 | 2 0 0 |
| 41.6 | 7 | 2 1 0 |
| 45.8 | 6 | 2 1 1 |
| 53.4 | 35 | 2 2 0 |
| 56.9 | 4 | 3 0 0 |
| 63.6 | 41 | 3 1 1 |
| 66.8 | 12 | 2 2 2 |
| 78.9 | 6 | 4 0 0 |
| 87.6 | 18 | 3 3 1 |



[8]
# PrHo3Mg
Theoretical X-ray powder pattern, copper Kα. Input: a crystal structure in Alexandria, relaxed with PBE.
Neutral-atom scattering factors, no anomalous dispersion.

Structural model:
```
data_PrHo3Mg
_cell_length_a 3.6966
_cell_length_b 6.7682
_cell_length_c 12.7678
_cell_angle_alpha 86.70
_cell_angle_beta 89.98
_cell_angle_gamma 74.15
_symmetry_space_group_name_H-M 'P -1'
_symmetry_Int_Tables_number 2
loop_
_symmetry_equiv_pos_as_xyz
'x,y,z'
'-x,-y,-z'
loop_
_atom_site_label
_atom_site_fract_x
_atom_site_fract_y
_atom_site_fract_z
Pr1 0.2349 0.0290 0.2583
Ho1 0.0354 0.4290 0.6866
Ho2 0.1495 0.2015 0.9431
Ho3 0.3668 0.7672 0.5228
Mg1 0.4459 0.6086 0.8763
```

Most intense lines, 10° ≤ 2θ ≤ 90°, by angle:
| two_theta | I (rel.) | index |
| --- | --- | --- |
| 28.0 | 18 | 0 0 4 |
| 28.5 | 16 | 1 0 -2 |
| 30.5 | 37 | 0 1 4 |
| 31.6 | 60 | 0 2 -2 |
| 32.3 | 100 | 1 2 1 |
| 33.1 | 94 | 1 0 3 |
| 33.7 | 17 | 0 2 3 |
| 43.3 | 16 | 0 3 2 |
| 45.7 | 15 | 0 1 -6 |
| 49.3 | 18 | 2 1 0 |
| 56.3 | 20 | 1 4 -1 |
| 57.8 | 19 | 1 3 -5 |